# SrEuNbCrO6
Simulated X-ray diffraction stick pattern, Cu Kα X-rays. Input: a cell relaxed with PBE+U.
Peak positions follow from Bragg's law for the DFT cell and can differ from measured ones.

Structure:
```
data_SrEuNbCrO6
_space_group_name_H-M_alt 'F -4 3 m'
_space_group_IT_number 216
_space_group_name_Hall 'F -4 2 3'
_cell_length_a 8.0161
_cell_length_b 8.0161
_cell_length_c 8.0161
_cell_angle_alpha 90.00
_cell_angle_beta 90.00
_cell_angle_gamma 90.00
loop_
_atom_site_label
_atom_site_type_symbol
_atom_site_fract_x
_atom_site_fract_y
_atom_site_fract_z
Sr1 Sr 0.0000 0.0000 0.0000
Eu1 Eu 0.0000 0.0000 0.5000
Nb1 Nb 0.2500 0.2500 0.2500
Cr1 Cr 0.2500 0.2500 0.7500
O1 O 0.0011 0.2500 0.7500
```

Main lines, in order of falling intensity (10 to 90 degrees two-theta):
2θ = 31.6°, intensity 100, hkl 2 2 0; 2θ = 56.2°, intensity 39, hkl 4 2 2; 2θ = 45.2°, intensity 33, hkl 4 0 0; 2θ = 65.9°, intensity 20, hkl 4 4 0; 2θ = 74.9°, intensity 17, hkl 6 2 0; 2θ = 38.9°, intensity 11, hkl 2 2 2; 2θ = 19.2°, intensity 10, hkl 1 1 1; 2θ = 83.6°, intensity 7, hkl 4 4 4; 2θ = 37.2°, intensity 6, hkl 3 1 1; 2θ = 79.3°, intensity 3, hkl 6 2 2; 2θ = 49.6°, intensity 3, hkl 3 3 1; 2θ = 22.2°, intensity 2, hkl 2 0 0